Entry 1:
# ScH4Pd6
Computed powder diffractogram, CuKα. Input: a crystal structure in Alexandria, relaxed with PBE.
Intensities are scaled so that the largest is 100.

Structure:
```
data_ScH4Pd6
_chemical_formula_sum 'Sc1 H4 Pd6'
_space_group_name_H-M_alt 'P 1'
_space_group_IT_number 1
_cell_length_a 5.6657
_cell_length_b 5.6745
_cell_length_c 5.6775
_cell_angle_alpha 118.63
_cell_angle_beta 119.80
_cell_angle_gamma 91.02
loop_
_space_group_symop_operation_xyz
'x,y,z'
loop_
_atom_site_label
_atom_site_type_symbol
_atom_site_fract_x
_atom_site_fract_y
_atom_site_fract_z
Sc1 Sc 0.0000 0.0000 0.0000
H1 H 0.3608 0.6264 0.7827
H2 H 0.5828 0.3916 0.2427
H3 H 0.6852 0.2452 0.8590
H4 H 0.8884 0.6827 0.2549
Pd1 Pd 0.0006 0.4937 0.9942
Pd2 Pd 0.0319 0.0446 0.5169
Pd3 Pd 0.4838 0.4869 0.5157
Pd4 Pd 0.5020 0.0093 0.9986
Pd5 Pd 0.5054 0.9597 0.4656
Pd6 Pd 0.9782 0.5240 0.5006
```

Top 10 peaks for 2θ = 10–90°, by angle:
2theta  d [Å]  I_rel
21.82  4.073  14
31.41  2.848  13
31.55  2.836  16
38.38  2.345  49
38.55  2.336  50
38.94  2.313  100
44.48  2.037  34
44.82  2.022  31
45.66  1.987  29
65.84  1.419  17

Entry 2:
# NpAlGaGe
Computed powder diffractogram, CuKα. Input: a crystal structure in Alexandria, relaxed with PBE.
Intensities are scaled so that the largest is 100.

Structure:
```
data_NpAlGaGe
_chemical_formula_sum 'Np1 Al1 Ga1 Ge1'
_space_group_name_H-M_alt 'P m m m'
_space_group_IT_number 47
_cell_length_a 4.1168
_cell_length_b 4.2019
_cell_length_c 4.4267
_cell_angle_alpha 90.00
_cell_angle_beta 90.00
_cell_angle_gamma 90.00
loop_
_space_group_symop_operation_xyz
'x,y,z'
'-x,-y,-z'
'-x,-y,z'
'x,y,-z'
'x,-y,-z'
'-x,y,z'
'-x,y,-z'
'x,-y,z'
loop_
_atom_site_label
_atom_site_type_symbol
_atom_site_fract_x
_atom_site_fract_y
_atom_site_fract_z
Np1 Np 0.0000 0.0000 0.0000
Al1 Al 0.0000 0.5000 0.5000
Ga1 Ga 0.5000 0.0000 0.5000
Ge1 Ge 0.5000 0.5000 0.0000
```

Top 10 peaks for 2θ = 10–90°, by angle:
2theta  d [Å]  I_rel
20.06  4.427  28
21.14  4.202  24
29.63  3.015  21
30.40  2.941  21
36.69  2.449  100
40.77  2.213  19
43.05  2.101  16
43.99  2.058  15
71.54  1.319  14
74.73  1.270  13

Entry 3:
# KP2Pb2O7
Computed powder diffractogram, CuKα. Input: a crystal structure in Alexandria, relaxed with PBE.
Intensities are scaled so that the largest is 100.

Structure:
```
data_KP2Pb2O7
_chemical_formula_sum 'K3 P6 Pb6 O21'
_space_group_name_H-M_alt 'R 3 2'
_space_group_IT_number 155
_space_group_name_Hall 'R 3 2"'
_cell_length_a 5.6077
_cell_length_b 5.6077
_cell_length_c 23.1185
_cell_angle_alpha 90.00
_cell_angle_beta 90.00
_cell_angle_gamma 120.00
loop_
_atom_site_label
_atom_site_type_symbol
_atom_site_fract_x
_atom_site_fract_y
_atom_site_fract_z
K1 K 0.0000 0.0000 0.0000
P1 P 0.0000 0.0000 0.4289
Pb1 Pb 0.0000 0.0000 0.1921
O1 O 0.0000 0.0000 0.5000
O2 O 0.0415 0.2828 0.4117
```

Top 10 peaks for 2θ = 10–90°, by angle:
2theta  d [Å]  I_rel
11.48  7.706  100
19.83  4.477  30
26.62  3.349  93
31.92  2.804  60
34.03  2.635  53
36.17  2.483  28
39.76  2.267  21
42.03  2.150  20
43.35  2.087  18
53.73  1.706  23

Entry 4:
# Dy7Y2
Computed powder diffractogram, CuKα. Input: a crystal structure in Alexandria, relaxed with PBE.
Intensities are scaled so that the largest is 100.

Structure:
```
data_Dy7Y2
_chemical_formula_sum 'Dy7 Y2'
_space_group_name_H-M_alt 'P -6 2 m'
_space_group_IT_number 189
_space_group_name_Hall 'P -6 -2'
_cell_length_a 9.6771
_cell_length_b 9.6771
_cell_length_c 3.5349
_cell_angle_alpha 90.00
_cell_angle_beta 90.00
_cell_angle_gamma 120.00
loop_
_atom_site_label
_atom_site_type_symbol
_atom_site_fract_x
_atom_site_fract_y
_atom_site_fract_z
Dy1 Dy 0.0000 0.0000 0.0000
Dy2 Dy 0.0000 0.3029 0.5000
Dy3 Dy 0.0000 0.6391 0.0000
Y1 Y 0.3333 0.6667 0.5000
```

Top 10 peaks for 2θ = 10–90°, by angle:
2theta  d [Å]  I_rel
28.17  3.168  12
31.34  2.854  94
32.04  2.794  100
33.16  2.702  25
38.15  2.359  16
45.43  1.996  27
54.32  1.689  20
56.67  1.624  23
57.11  1.613  14
62.15  1.494  30

Entry 5:
# CePr2Ho8
Computed powder diffractogram, CuKα. Input: a crystal structure in Alexandria, relaxed with PBE.
Intensities are scaled so that the largest is 100.

Structure:
```
data_CePr2Ho8
_chemical_formula_sum 'Ce2 Pr4 Ho16'
_space_group_name_H-M_alt 'C 1 2/m 1'
_space_group_IT_number 12
_cell_length_a 18.1520
_cell_length_b 5.0413
_cell_length_c 7.9602
_cell_angle_alpha 90.00
_cell_angle_beta 105.24
_cell_angle_gamma 90.00
loop_
_space_group_symop_operation_xyz
'x,y,z'
'-x,-y,-z'
'-x,y,-z'
'x,-y,z'
'x+1/2,y+1/2,z'
'-x+1/2,-y+1/2,-z'
'-x+1/2,y+1/2,-z'
'x+1/2,-y+1/2,z'
loop_
_atom_site_label
_atom_site_type_symbol
_atom_site_fract_x
_atom_site_fract_y
_atom_site_fract_z
Ce1 Ce 0.0000 0.0000 0.0000
Pr1 Pr 0.2282 0.5000 0.6376
Ho1 Ho 0.0439 0.5000 0.7304
Ho2 Ho 0.0889 0.0000 0.4521
Ho3 Ho 0.1343 0.5000 0.1760
Ho4 Ho 0.1794 0.0000 0.9065
```

Top 10 peaks for 2θ = 10–90°, by angle:
2theta  d [Å]  I_rel
30.75  2.908  100
35.65  2.518  51
51.30  1.781  36
61.01  1.519  43
64.04  1.454  12
75.42  1.260  2
75.54  1.259  4
83.69  1.156  18
86.36  1.127  10
86.43  1.126  7

Entry 6:
# SmMg11Ag
Computed powder diffractogram, CuKα. Input: a crystal structure in Alexandria, relaxed with PBE.
Intensities are scaled so that the largest is 100.

Structure:
```
data_SmMg11Ag
_chemical_formula_sum 'Sm2 Mg22 Ag2'
_space_group_name_H-M_alt 'C 1 2/m 1'
_space_group_IT_number 12
_cell_length_a 5.7730
_cell_length_b 14.4453
_cell_length_c 7.7129
_cell_angle_alpha 90.00
_cell_angle_beta 110.95
_cell_angle_gamma 90.00
loop_
_space_group_symop_operation_xyz
'x,y,z'
'-x,-y,-z'
'-x,y,-z'
'x,-y,z'
'x+1/2,y+1/2,z'
'-x+1/2,-y+1/2,-z'
'-x+1/2,y+1/2,-z'
'x+1/2,-y+1/2,z'
loop_
_atom_site_label
_atom_site_type_symbol
_atom_site_fract_x
_atom_site_fract_y
_atom_site_fract_z
Sm1 Sm 0.0000 0.0000 0.0000
Mg1 Mg 0.0000 0.0000 0.5000
Mg2 Mg 0.0997 0.3959 0.2152
Mg3 Mg 0.1821 0.1729 0.3557
Mg4 Mg 0.2500 0.2500 0.0000
Ag1 Ag 0.0000 0.5000 0.5000
```

Top 10 peaks for 2θ = 10–90°, by angle:
2theta  d [Å]  I_rel
12.25  7.222  96
17.75  4.997  79
24.69  3.606  91
24.93  3.572  44
27.67  3.223  39
30.34  2.946  58
35.18  2.551  82
35.35  2.539  44
35.58  2.523  100
35.95  2.498  51

Entry 7:
# Li2Nd2HoSn2
Computed powder diffractogram, CuKα. Input: a crystal structure in Alexandria, relaxed with PBE.
Intensities are scaled so that the largest is 100.

Structure:
```
data_Li2Nd2HoSn2
_chemical_formula_sum 'Li6 Nd6 Ho3 Sn6'
_space_group_name_H-M_alt 'R -3 m'
_space_group_IT_number 166
_space_group_name_Hall '-R 3 2"'
_cell_length_a 4.7916
_cell_length_b 4.7916
_cell_length_c 27.4903
_cell_angle_alpha 90.00
_cell_angle_beta 90.00
_cell_angle_gamma 120.00
loop_
_atom_site_label
_atom_site_type_symbol
_atom_site_fract_x
_atom_site_fract_y
_atom_site_fract_z
Li1 Li 0.0000 0.0000 0.1061
Nd1 Nd 0.0000 0.0000 0.3723
Ho1 Ho 0.0000 0.0000 0.5000
Sn1 Sn 0.0000 0.0000 0.2323
```

Top 10 peaks for 2θ = 10–90°, by angle:
2theta  d [Å]  I_rel
21.66  4.103  87
31.36  2.852  100
33.87  2.647  96
37.54  2.396  98
49.71  1.834  41
51.45  1.776  33
63.94  1.456  63
65.41  1.427  31
67.74  1.383  18
88.56  1.104  28

Entry 8:
# HfTeHS
Computed powder diffractogram, CuKα. Input: a crystal structure in Alexandria, relaxed with PBE.
Intensities are scaled so that the largest is 100.

Structure:
```
data_HfTeHS
_chemical_formula_sum 'Hf2 Te2 H2 S2'
_space_group_name_H-M_alt 'C 1 m 1'
_space_group_IT_number 8
_cell_length_a 5.9471
_cell_length_b 3.5315
_cell_length_c 7.7974
_cell_angle_alpha 90.00
_cell_angle_beta 104.88
_cell_angle_gamma 90.00
loop_
_space_group_symop_operation_xyz
'x,y,z'
'x,-y,z'
'x+1/2,y+1/2,z'
'x+1/2,-y+1/2,z'
loop_
_atom_site_label
_atom_site_type_symbol
_atom_site_fract_x
_atom_site_fract_y
_atom_site_fract_z
Hf1 Hf 0.0000 0.0000 0.0000
Te1 Te 0.2255 0.0000 0.6831
H1 H 0.1531 0.5000 0.9645
S1 S 0.4038 0.0000 0.2066
```

Top 10 peaks for 2θ = 10–90°, by angle:
2theta  d [Å]  I_rel
11.74  7.536  100
29.69  3.009  44
30.31  2.949  21
33.52  2.673  49
34.03  2.634  24
35.59  2.522  53
35.74  2.512  21
36.20  2.481  26
43.73  2.070  21
52.97  1.729  20

Entry 9:
# Rb2MgO2
Computed powder diffractogram, CuKα. Input: a crystal structure in Alexandria, relaxed with PBE.
Intensities are scaled so that the largest is 100.

Structure:
```
data_Rb2MgO2
_chemical_formula_sum 'Rb16 Mg8 O16'
_space_group_name_H-M_alt 'P 1 21/c 1'
_space_group_IT_number 14
_cell_length_a 9.8556
_cell_length_b 6.5052
_cell_length_c 16.1577
_cell_angle_alpha 90.00
_cell_angle_beta 119.08
_cell_angle_gamma 90.00
loop_
_space_group_symop_operation_xyz
'x,y,z'
'-x,-y,-z'
'-x,y+1/2,-z+1/2'
'x,-y+1/2,z+1/2'
loop_
_atom_site_label
_atom_site_type_symbol
_atom_site_fract_x
_atom_site_fract_y
_atom_site_fract_z
Rb1 Rb 0.0744 0.0643 0.1243
Rb2 Rb 0.1785 0.5792 0.2629
Rb3 Rb 0.3486 0.6596 0.5331
Rb4 Rb 0.4201 0.1185 0.6682
Mg1 Mg 0.0885 0.0470 0.4609
Mg2 Mg 0.2610 0.1232 0.3776
O1 O 0.1197 0.6027 0.8604
O2 O 0.1288 0.6282 0.0732
O3 O 0.2424 0.2312 0.9775
O4 O 0.3605 0.1943 0.3061
```

Top 10 peaks for 2θ = 10–90°, by angle:
2theta  d [Å]  I_rel
26.04  3.422  32
27.26  3.272  79
28.77  3.103  24
28.94  3.085  62
29.10  3.068  100
31.37  2.852  85
32.22  2.778  47
33.22  2.697  48
41.60  2.171  18
53.44  1.715  19

Entry 10:
# CuAs4H10O16
Computed powder diffractogram, CuKα. Input: a crystal structure in Alexandria, relaxed with PBE.
Intensities are scaled so that the largest is 100.

Structure:
```
data_CuAs4H10O16
_chemical_formula_sum 'Cu1 As4 H10 O16'
_space_group_name_H-M_alt 'P -1'
_space_group_IT_number 2
_cell_length_a 5.4531
_cell_length_b 7.7646
_cell_length_c 8.6895
_cell_angle_alpha 108.46
_cell_angle_beta 98.19
_cell_angle_gamma 93.10
loop_
_space_group_symop_operation_xyz
'x,y,z'
'-x,-y,-z'
loop_
_atom_site_label
_atom_site_type_symbol
_atom_site_fract_x
_atom_site_fract_y
_atom_site_fract_z
Cu1 Cu 0.0000 0.0000 0.0000
As1 As 0.0344 0.2761 0.6975
As2 As 0.4227 0.8080 0.8008
H1 H 0.0143 0.4148 0.2165
H2 H 0.1073 0.1060 0.4375
H3 H 0.3136 0.2771 0.9214
H4 H 0.4100 0.9711 0.2946
H5 H 0.4216 0.4607 0.3292
O1 O 0.1163 0.2400 0.5047
O2 O 0.1292 0.9088 0.2910
O3 O 0.1318 0.5322 0.2678
O4 O 0.1425 0.7897 0.8651
O5 O 0.3002 0.3547 0.8472
O6 O 0.3230 0.1523 0.0462
O7 O 0.4160 0.9681 0.6984
O8 O 0.4213 0.5956 0.6521
```

Top 10 peaks for 2θ = 10–90°, by angle:
2theta  d [Å]  I_rel
12.08  7.324  59
20.86  4.259  71
21.25  4.181  97
21.74  4.089  76
21.88  4.062  74
22.92  3.880  100
26.90  3.314  65
27.14  3.285  97
28.49  3.133  74
33.38  2.684  70